# ScMn5Tc
Simulated powder XRD pattern, Cu Kα (λ = 1.5418 Å). Input: DFT lattice parameters and positions (GGA-PBE).
Intensities are scaled so that the largest is 100.

Peak list (10 most intense, 10° ≤ 2θ ≤ 90°, low angle first)
| d/Å | Rel. int. |
| --- | --- |
| 3.760 | 32 |
| 2.368 | 40 |
| 2.357 | 56 |
| 2.247 | 100 |
| 2.233 | 70 |
| 2.090 | 32 |
| 1.991 | 81 |
| 1.943 | 41 |
| 1.916 | 100 |
| 1.868 | 75 |

Structural model:
```
28
Lattice="7.926 0.000 0.000 0.000 4.737 0.000 0.000 0.000 9.876" Properties=species:S:1:pos:R:3 pbc="T T T"
Sc 1.964 1.184 0.611
Sc 1.999 3.553 5.549
Sc 5.926 1.184 4.327
Sc 5.962 3.553 9.265
Mn 0.430 3.553 0.880
Mn 0.574 0.046 3.060
Mn 0.574 2.322 3.060
Mn 0.674 1.184 5.202
Mn 1.527 1.184 7.431
Mn 2.436 3.553 2.493
Mn 3.289 3.553 0.264
Mn 3.389 2.415 7.998
Mn 3.389 4.690 7.998
Mn 3.533 1.184 5.818
Mn 4.393 3.553 4.058
Mn 4.537 0.046 1.878
Mn 4.537 2.322 1.878
Mn 4.637 1.184 9.612
Mn 5.490 1.184 7.382
Mn 6.399 3.553 2.444
Mn 7.252 3.553 4.674
Mn 7.352 2.415 6.816
Mn 7.352 4.690 6.816
Mn 7.496 1.184 8.996
Tc 1.078 3.553 8.418
Tc 2.885 1.184 3.480
Tc 5.041 3.553 6.396
Tc 6.847 1.184 1.458
```